Structure and computed X-ray diffraction stick pattern of CoMo2Rh (a PBE-relaxed structure; Cu Kα, 1.54184 Å).
Neutral-atom scattering factors, no anomalous dispersion.

Most intense lines, 2θ = 15–90°, most intense first:
- 40.9 deg, I = 100
- 47.8 deg, I = 31
- 84.3 deg, I = 24
- 69.4 deg, I = 20
- 47.1 deg, I = 16
- 83.3 deg, I = 12
- 88.6 deg, I = 11
- 69.9 deg, I = 10
- 26.1 deg, I = 5
- 42.4 deg, I = 1
- 55.3 deg, I = 1
- 65.8 deg, I = 1

Lattice parameters (Å, degrees): 3.8055 3.8055 7.7165 90.00 90.00 90.00
Positions (direct):
Co 0.0000 0.0000 0.0000
Co 0.5000 0.5000 0.5000
Mo 0.0000 0.5000 0.2500
Mo 0.0000 0.5000 0.7500
Mo 0.5000 0.0000 0.2500
Mo 0.5000 0.0000 0.7500
Rh 0.0000 0.0000 0.5000
Rh 0.5000 0.5000 0.0000

Structure and computed X-ray diffraction stick pattern of Co2MoRu2 (a PBE-relaxed structure; Cu Kα, 1.54184 Å).
Neutral-atom scattering factors, no anomalous dispersion.

Most intense lines, 2θ = 15–90°, most intense first:
- 44.5 deg, I = 100
- 41.0 deg, I = 71
- 42.4 deg, I = 55
- 36.5 deg, I = 24
- 78.6 deg, I = 18
- 54.4 deg, I = 18
- 66.8 deg, I = 17
- 84.3 deg, I = 17
- 65.2 deg, I = 16
- 28.7 deg, I = 13
- 69.8 deg, I = 12
- 47.1 deg, I = 12

Lattice parameters (Å, degrees): 6.9580 6.9580 2.6946 90.00 90.00 90.00
Positions (direct):
Co 0.1196 0.3804 0.0000
Co 0.3804 0.8804 0.0000
Co 0.6196 0.1196 0.0000
Co 0.8804 0.6196 0.0000
Mo 0.0000 0.0000 0.0000
Mo 0.5000 0.5000 0.0000
Ru 0.1754 0.6754 0.5000
Ru 0.3246 0.1754 0.5000
Ru 0.6754 0.8246 0.5000
Ru 0.8246 0.3246 0.5000

Structure and computed X-ray diffraction stick pattern of CoMoRu (a PBE-relaxed structure; Cu Kα, 1.54184 Å).
Neutral-atom scattering factors, no anomalous dispersion.

Most intense lines, 2θ = 15–90°, most intense first:
- 42.2 deg, I = 100
- 43.1 deg, I = 98
- 42.3 deg, I = 54
- 42.7 deg, I = 51
- 61.7 deg, I = 34
- 78.5 deg, I = 34
- 87.1 deg, I = 25
- 77.8 deg, I = 16
- 62.0 deg, I = 14
- 78.2 deg, I = 14
- 86.8 deg, I = 13
- 71.3 deg, I = 11

Lattice parameters (Å, degrees): 4.2371 5.2878 7.2565 90.00 90.00 90.00
Positions (direct):
Co 0.0000 0.0000 0.1590
Co 0.0000 0.0000 0.8410
Co 0.5000 0.5000 0.3410
Co 0.5000 0.5000 0.6590
Mo 0.0000 0.5000 0.1768
Mo 0.0000 0.5000 0.8232
Mo 0.5000 0.0000 0.3232
Mo 0.5000 0.0000 0.6768
Ru 0.0000 0.2510 0.5000
Ru 0.0000 0.7490 0.5000
Ru 0.5000 0.2490 0.0000
Ru 0.5000 0.7510 0.0000

Structure and computed X-ray diffraction stick pattern of Co6SbMo (a PBE-relaxed structure; Cu Kα, 1.54184 Å).
Neutral-atom scattering factors, no anomalous dispersion.

Most intense lines, 2θ = 15–90°, most intense first:
- 43.0 deg, I = 100
- 50.1 deg, I = 47
- 73.6 deg, I = 23
- 89.2 deg, I = 22
- 89.3 deg, I = 11
- 24.4 deg, I = 9
- 34.8 deg, I = 7
- 73.5 deg, I = 5
- 56.5 deg, I = 4
- 62.5 deg, I = 3
- 78.8 deg, I = 1
- 78.9 deg, I = 1

Lattice parameters (Å, degrees): 6.3028 6.3028 10.3091 90.00 90.00 109.49
Positions (direct):
Co 0.0000 0.0000 0.0000
Co 0.0000 0.0000 0.5000
Co 0.1171 0.3718 0.1208
Co 0.1171 0.3718 0.8792
Co 0.1213 0.3656 0.3708
Co 0.1213 0.3656 0.6292
Co 0.2452 0.7548 0.2430
Co 0.2452 0.7548 0.7570
Co 0.3656 0.1213 0.3708
Co 0.3656 0.1213 0.6292
Co 0.3718 0.1171 0.1208
Co 0.3718 0.1171 0.8792
Co 0.5000 0.5000 0.0000
Co 0.5000 0.5000 0.5000
Co 0.6282 0.8829 0.1208
Co 0.6282 0.8829 0.8792
Co 0.6344 0.8787 0.3708
Co 0.6344 0.8787 0.6292
Co 0.7548 0.2452 0.2430
Co 0.7548 0.2452 0.7570
Co 0.8787 0.6344 0.3708
Co 0.8787 0.6344 0.6292
Co 0.8829 0.6282 0.1208
Co 0.8829 0.6282 0.8792
Sb 0.2502 0.7498 0.5000
Sb 0.5000 0.5000 0.2478
Sb 0.5000 0.5000 0.7522
Sb 0.7498 0.2502 0.5000
Mo 0.0000 0.0000 0.2493
Mo 0.0000 0.0000 0.7507
Mo 0.2460 0.7540 0.0000
Mo 0.7540 0.2460 0.0000

Structure and computed X-ray diffraction stick pattern of Sc2CoMo (a PBE-relaxed structure; Cu Kα, 1.54184 Å).
Neutral-atom scattering factors, no anomalous dispersion.

Most intense lines, 2θ = 15–90°, most intense first:
- 39.4 deg, I = 100
- 37.7 deg, I = 18
- 21.5 deg, I = 17
- 71.5 deg, I = 17
- 55.7 deg, I = 11
- 84.9 deg, I = 8
- 40.2 deg, I = 8
- 69.2 deg, I = 7
- 72.7 deg, I = 6
- 58.3 deg, I = 6
- 51.9 deg, I = 6
- 57.6 deg, I = 5

Lattice parameters (Å, degrees): 3.1633 4.5722 9.5511 90.00 90.00 90.00
Positions (direct):
Sc 0.0000 0.0000 0.0000
Sc 0.0000 0.5000 0.2175
Sc 0.5000 0.0000 0.7175
Sc 0.5000 0.5000 0.5000
Co 0.0000 0.5000 0.7402
Co 0.5000 0.0000 0.2402
Mo 0.0000 0.0000 0.4470
Mo 0.5000 0.5000 0.9470

Structure and computed X-ray diffraction stick pattern of Sc2Co5Si2Mo (a PBE-relaxed structure; Cu Kα, 1.54184 Å).
Neutral-atom scattering factors, no anomalous dispersion.

Most intense lines, 2θ = 15–90°, most intense first:
- 41.9 deg, I = 100
- 45.6 deg, I = 36
- 39.2 deg, I = 23
- 54.7 deg, I = 14
- 73.8 deg, I = 12
- 19.9 deg, I = 12
- 34.9 deg, I = 11
- 81.6 deg, I = 10
- 71.1 deg, I = 9
- 84.3 deg, I = 4
- 52.4 deg, I = 4
- 66.4 deg, I = 4

Lattice parameters (Å, degrees): 8.9055 8.9055 3.3588 90.00 90.00 90.00
Positions (direct):
Sc 0.1749 0.3251 0.0000
Sc 0.3251 0.8251 0.0000
Sc 0.6749 0.1749 0.0000
Sc 0.8251 0.6749 0.0000
Co 0.0000 0.5000 0.5000
Co 0.0647 0.7932 0.5000
Co 0.2068 0.0647 0.5000
Co 0.2932 0.5647 0.5000
Co 0.4353 0.2932 0.5000
Co 0.5000 0.0000 0.5000
Co 0.5647 0.7068 0.5000
Co 0.7068 0.4353 0.5000
Co 0.7932 0.9353 0.5000
Co 0.9353 0.2068 0.5000
Si 0.1218 0.6218 0.0000
Si 0.3782 0.1218 0.0000
Si 0.6218 0.8782 0.0000
Si 0.8782 0.3782 0.0000
Mo 0.0000 0.0000 0.0000
Mo 0.5000 0.5000 0.0000

Structure and computed X-ray diffraction stick pattern of CoMo12Se16 (a PBE-relaxed structure; Cu Kα, 1.54184 Å).
Neutral-atom scattering factors, no anomalous dispersion.

Most intense lines, 2θ = 15–90°, most intense first:
- 44.6 deg, I = 100
- 44.3 deg, I = 99
- 43.8 deg, I = 93
- 39.9 deg, I = 87
- 32.1 deg, I = 86
- 47.9 deg, I = 86
- 49.2 deg, I = 72
- 32.7 deg, I = 71
- 38.9 deg, I = 69
- 31.7 deg, I = 65
- 39.3 deg, I = 61
- 49.6 deg, I = 57

Lattice parameters (Å, degrees): 9.3364 9.4592 9.5706 62.04 62.16 61.64
Positions (direct):
Co 0.0000 0.0000 0.0000
Mo 0.0225 0.9351 0.5795
Mo 0.0747 0.8493 0.3066
Mo 0.1483 0.1234 0.2708
Mo 0.2472 0.4850 0.0026
Mo 0.3362 0.7517 0.9526
Mo 0.3822 0.6704 0.6841
Mo 0.5235 0.4333 0.0819
Mo 0.5673 0.3508 0.8163
Mo 0.6563 0.6190 0.7652
Mo 0.7512 0.9926 0.4964
Mo 0.8322 0.2575 0.4562
Mo 0.8764 0.1770 0.1868
Se 0.0746 0.8002 0.8751
Se 0.0929 0.1915 0.5246
Se 0.2086 0.5543 0.2488
Se 0.2168 0.0406 0.0176
Se 0.3015 0.4157 0.7513
Se 0.3210 0.8032 0.3937
Se 0.4438 0.1854 0.1283
Se 0.4612 0.9174 0.6412
Se 0.5788 0.3063 0.3761
Se 0.6034 0.6867 0.0155
Se 0.6984 0.5441 0.5221
Se 0.7040 0.0612 0.7467
Se 0.8080 0.8965 0.2563
Se 0.8275 0.2879 0.8923
Se 0.9457 0.4254 0.1456
Se 0.9519 0.6853 0.6191

Structure and computed X-ray diffraction stick pattern of Sr2CoMo (a PBE-relaxed structure; Cu Kα, 1.54184 Å).
Neutral-atom scattering factors, no anomalous dispersion.

Most intense lines, 2θ = 15–90°, most intense first:
- 30.4 deg, I = 100
- 28.8 deg, I = 100
- 37.5 deg, I = 71
- 35.3 deg, I = 52
- 38.9 deg, I = 35
- 15.1 deg, I = 34
- 57.0 deg, I = 28
- 53.5 deg, I = 27
- 65.1 deg, I = 25
- 52.8 deg, I = 24
- 48.1 deg, I = 21
- 61.0 deg, I = 20

Lattice parameters (Å, degrees): 3.7847 5.0842 11.7123 90.00 90.00 90.00
Positions (direct):
Sr 0.0000 0.0000 0.0000
Sr 0.0000 0.5000 0.5000
Sr 0.5000 0.0000 0.2825
Sr 0.5000 0.5000 0.7825
Co 0.0000 0.0000 0.7001
Co 0.0000 0.5000 0.2001
Mo 0.5000 0.0000 0.5964
Mo 0.5000 0.5000 0.0964

Structure and computed X-ray diffraction stick pattern of Ta3Co2Mo (a PBE-relaxed structure; Cu Kα, 1.54184 Å).
Neutral-atom scattering factors, no anomalous dispersion.

Most intense lines, 2θ = 15–90°, most intense first:
- 37.5 deg, I = 100
- 38.0 deg, I = 80
- 47.5 deg, I = 52
- 66.4 deg, I = 33
- 36.5 deg, I = 27
- 42.4 deg, I = 26
- 46.9 deg, I = 22
- 77.6 deg, I = 19
- 89.6 deg, I = 18
- 65.7 deg, I = 16
- 66.7 deg, I = 15
- 73.1 deg, I = 15

Lattice parameters (Å, degrees): 6.0894 4.9208 4.9984 75.74 51.55 52.71
Positions (direct):
Ta 0.0000 0.0000 0.0000
Ta 0.1808 0.5020 0.4980
Ta 0.5020 0.1808 0.8192
Co 0.0914 0.0914 0.4086
Co 0.5914 0.5914 0.9086
Mo 0.6812 0.6812 0.3188

Structure and computed X-ray diffraction stick pattern of TaCo6Mo (a PBE-relaxed structure; Cu Kα, 1.54184 Å).
Neutral-atom scattering factors, no anomalous dispersion.

Most intense lines, 2θ = 15–90°, most intense first:
- 46.4 deg, I = 100
- 43.9 deg, I = 26
- 40.5 deg, I = 26
- 29.5 deg, I = 25
- 90.0 deg, I = 19
- 82.5 deg, I = 17
- 73.7 deg, I = 15
- 61.3 deg, I = 15
- 19.9 deg, I = 11
- 34.9 deg, I = 9
- 59.3 deg, I = 5
- 57.3 deg, I = 4

Lattice parameters (Å, degrees): 5.1394 5.1394 4.1218 90.00 90.00 120.00
Positions (direct):
Ta 0.0000 0.0000 0.0000
Co 0.0093 0.5046 0.0000
Co 0.1756 0.3512 0.5000
Co 0.1756 0.8244 0.5000
Co 0.4954 0.5046 0.0000
Co 0.4954 0.9907 0.0000
Co 0.6488 0.8244 0.5000
Mo 0.6667 0.3333 0.5000

Structure and computed X-ray diffraction stick pattern of TaCoMo (a PBE-relaxed structure; Cu Kα, 1.54184 Å).
Neutral-atom scattering factors, no anomalous dispersion.

Most intense lines, 2θ = 15–90°, most intense first:
- 38.1 deg, I = 100
- 47.5 deg, I = 26
- 48.0 deg, I = 19
- 67.3 deg, I = 19
- 42.7 deg, I = 17
- 77.6 deg, I = 15
- 66.6 deg, I = 14
- 36.9 deg, I = 14
- 89.6 deg, I = 12
- 73.8 deg, I = 9
- 23.5 deg, I = 8
- 29.5 deg, I = 6

Lattice parameters (Å, degrees): 4.8692 6.0458 6.0504 90.00 90.00 90.00
Positions (direct):
Ta 0.2500 0.1591 0.0000
Ta 0.2500 0.3409 0.5000
Ta 0.7500 0.6591 0.5000
Ta 0.7500 0.8409 0.0000
Co 0.0000 0.0000 0.3422
Co 0.0000 0.5000 0.8422
Co 0.5000 0.0000 0.3422
Co 0.5000 0.5000 0.8422
Mo 0.2500 0.6607 0.1819
Mo 0.2500 0.8393 0.6819
Mo 0.7500 0.1607 0.6819
Mo 0.7500 0.3393 0.1819

Structure and computed X-ray diffraction stick pattern of CoTeMo (a PBE-relaxed structure; Cu Kα, 1.54184 Å).
Neutral-atom scattering factors, no anomalous dispersion.

Most intense lines, 2θ = 15–90°, most intense first:
- 43.1 deg, I = 100
- 30.0 deg, I = 51
- 37.1 deg, I = 45
- 71.0 deg, I = 28
- 28.1 deg, I = 25
- 48.3 deg, I = 21
- 62.4 deg, I = 19
- 30.2 deg, I = 19
- 49.9 deg, I = 13
- 86.5 deg, I = 13
- 47.1 deg, I = 11
- 48.5 deg, I = 10

Lattice parameters (Å, degrees): 3.7679 4.8487 5.9257 90.00 90.00 90.00
Positions (direct):
Co 0.2500 0.2500 0.2483
Co 0.7500 0.7500 0.7517
Te 0.2500 0.7500 0.4515
Te 0.7500 0.2500 0.5485
Mo 0.2500 0.7500 0.0031
Mo 0.7500 0.2500 0.9969